This entry pairs a crystal structure of VO2 with its theoretical XRD peak list. Radiation: Cu Ka. Structure: the PBE+U geometry in the Materials Project.

Top 8 peaks for 2θ = 10–80°, by angle:
d (Å)	I_rel	hkl
3.186	100	1 1 -1
2.519	57	1 1 1
2.199	20	0 1 2
1.679	61	2 2 0
1.593	18	2 2 -2
1.519	10	2 0 2
1.371	12	3 1 1
1.346	21	4 0 -2

Structural model:
```
VO2
1.0
5.436 0.000 0.000
0.000 4.505 0.000
-2.037 0.000 5.038
V O
4 8
Direct
0.249 0.004 0.245
0.249 0.496 0.745
0.751 0.504 0.255
0.751 0.996 0.755
0.100 0.702 0.401
0.100 0.798 0.901
0.401 0.201 0.601
0.401 0.299 0.101
0.599 0.701 0.899
0.599 0.799 0.399
0.900 0.202 0.099
0.900 0.298 0.599
```